(1)
Diffraction record for Sm2Ga2Fe15C2. The X-ray diffraction stick pattern is simulated, not measured: it uses a PBE-relaxed structure and Cu Kα.

Unit cell a=6.516 b=6.516 c=6.579 alpha=97.17 beta=97.17 gamma=83.00
Fractional positions:
Sm  0.000  0.000  0.000
Sm  0.688  0.688  0.337
Ga  0.188  0.682  0.331
Ga  0.682  0.188  0.331
Fe  0.002  0.493  0.003
Fe  0.008  0.008  0.532
Fe  0.057  0.337  0.381
Fe  0.063  0.628  0.672
Fe  0.248  0.248  0.763
Fe  0.337  0.057  0.381
Fe  0.342  0.342  0.161
Fe  0.346  0.631  0.957
Fe  0.347  0.845  0.670
Fe  0.440  0.440  0.579
Fe  0.493  0.002  0.003
Fe  0.628  0.063  0.672
Fe  0.631  0.346  0.957
Fe  0.688  0.688  0.814
Fe  0.845  0.347  0.670
C  0.356  0.855  0.159
C  0.855  0.356  0.159

Most intense lines, 2θ from 10° to 80°, most intense first:
2θ/deg	d/Å	I_rel
41.73	2.165	1000
42.18	2.142	731
42.92	2.107	702
41.98	2.152	484
29.66	3.012	423
35.99	2.495	380
41.85	2.159	368
37.13	2.421	255
47.34	1.920	217
29.43	3.035	215

=====

(2)
Diffraction record for Sm2Ga3Fe14C2. The X-ray diffraction stick pattern is simulated, not measured: it uses a PBE-relaxed structure and Cu Kα.

Unit cell a=6.517 b=6.517 c=6.513 alpha=96.15 beta=96.15 gamma=83.37
Fractional positions:
Sm  0.152  0.152  0.337
Sm  0.848  0.848  0.663
Ga  0.000  0.500  0.000
Ga  0.500  0.000  0.000
Ga  0.500  0.500  0.500
Fe  0.154  0.649  0.343
Fe  0.156  0.156  0.848
Fe  0.212  0.788  0.000
Fe  0.214  0.499  0.714
Fe  0.351  0.846  0.657
Fe  0.408  0.408  0.095
Fe  0.499  0.214  0.714
Fe  0.501  0.786  0.286
Fe  0.592  0.592  0.905
Fe  0.649  0.154  0.343
Fe  0.786  0.501  0.286
Fe  0.788  0.212  0.000
Fe  0.844  0.844  0.152
Fe  0.846  0.351  0.657
C  0.000  0.500  0.500
C  0.500  0.000  0.500

Most intense lines, 2θ from 10° to 80°, most intense first:
2θ/deg	d/Å	I_rel
42.10	2.146	1000
41.49	2.177	600
43.56	2.078	573
29.79	3.000	330
41.68	2.167	294
35.83	2.506	294
41.88	2.157	186
47.26	1.923	177
29.67	3.011	173
37.53	2.396	171